Entry 1:
This entry pairs a crystal structure of NdUIr with its calculated X-ray diffraction stick pattern. Radiation: Cu Kα X-rays. Structure: a structure optimized by DFT (PBE).

The 10 most intense peaks (15° ≤ 2θ ≤ 90°), low angle first:
| two_theta | d_spacing | I/Imax |
| --- | --- | --- |
| 17.0 | 5.213 | 50.9 |
| 31.1 | 2.874 | 39.9 |
| 32.2 | 2.778 | 100.0 |
| 33.8 | 2.648 | 99.1 |
| 36.9 | 2.436 | 57.6 |
| 38.6 | 2.334 | 23.0 |
| 42.3 | 2.137 | 35.3 |
| 42.5 | 2.129 | 37.6 |
| 54.5 | 1.684 | 26.0 |
| 58.0 | 1.589 | 25.1 |

Crystal structure
```
NdUIr
1.0
0.0000 6.3898 7.5321
3.0848 0.0000 7.5321
3.0848 6.3898 0.0000
Nd U Ir
4 4 4
direct
0.0207 0.0207 0.2293
0.2293 0.2293 0.0207
0.7707 0.7707 0.9793
0.9793 0.9793 0.7707
0.2022 0.2022 0.5478
0.4522 0.4522 0.7978
0.5478 0.5478 0.2022
0.7978 0.7978 0.4522
0.2682 0.4818 0.2682
0.4818 0.2682 0.4818
0.5182 0.7318 0.5182
0.7318 0.5182 0.7318
```

=====

Entry 2:
This entry pairs a crystal structure of TmCdInBr6 with its calculated X-ray diffraction stick pattern. Radiation: Cu Kα X-rays. Structure: a structure optimized by DFT (PBE).

The 10 most intense peaks (15° ≤ 2θ ≤ 90°), low angle first:
| two_theta | d_spacing | I/Imax |
| --- | --- | --- |
| 18.7 | 4.741 | 85.8 |
| 27.6 | 3.237 | 82.0 |
| 31.1 | 2.876 | 18.7 |
| 35.0 | 2.561 | 100.0 |
| 40.0 | 2.252 | 38.4 |
| 43.3 | 2.089 | 45.5 |
| 45.1 | 2.009 | 31.2 |
| 54.3 | 1.691 | 27.6 |
| 56.9 | 1.619 | 27.7 |
| 74.1 | 1.280 | 21.2 |

Crystal structure
```
TmCdInBr6
1.0
7.2352 0.0000 0.0000
-3.6176 6.2659 0.0000
0.0000 0.0000 14.5035
Tm Cd In Br
2 2 2 12
direct
0.3333 0.6667 0.2500
0.6667 0.3333 0.7500
0.3333 0.6667 0.7500
0.6667 0.3333 0.2500
0.0000 0.0000 0.0000
0.0000 0.0000 0.5000
0.0042 0.3708 0.1390
0.0042 0.6334 0.3610
0.3666 0.3708 0.3610
0.3666 0.9958 0.1390
0.3708 0.0042 0.6390
0.3708 0.3666 0.8610
0.6292 0.6334 0.1390
0.6292 0.9958 0.3610
0.6334 0.0042 0.8610
0.6334 0.6292 0.6390
0.9958 0.3666 0.6390
0.9958 0.6292 0.8610
```